# La3AlSi2Pt9
Calculated X-ray powder pattern, Cu Kα X-rays. Input: a crystal structure in Alexandria, relaxed with GGA-PBE.
No peak broadening, texture or thermal motion is included.

Crystal structure
a = 6.4133 Å, b = 6.4133 Å, c = 8.9127 Å
α = 90.00°, β = 90.00°, γ = 120.00°
Space group P-3m1 (No. 164)
Symmetry-distinct sites (fractional):
La 0.0000 0.0000 0.0000 (multiplicity 1)
La 0.3333 0.6667 0.6830 (multiplicity 2)
Al 0.0000 0.0000 0.5000 (multiplicity 1)
Si 0.3333 0.6667 0.1828 (multiplicity 2)
Pt 0.0000 0.5000 0.0000 (multiplicity 3)
Pt 0.1439 0.2878 0.2851 (multiplicity 6)

Principal peaks in the range 2θ from 10° to 90°, low angle first:
hkl 0 0 3, d = 2.971 Å, intensity 31
hkl 0 2 1, d = 2.651 Å, intensity 100
hkl 2 0 2, d = 2.357 Å, intensity 82
hkl 0 0 4, d = 2.228 Å, intensity 11
hkl 2 0 3, d = 2.029 Å, intensity 17
hkl 0 2 4, d = 1.738 Å, intensity 18
hkl 2 2 0, d = 1.603 Å, intensity 23
hkl 0 2 5, d = 1.500 Å, intensity 16
hkl 2 2 3, d = 1.411 Å, intensity 16
hkl 4 0 1, d = 1.372 Å, intensity 10
hkl 0 4 2, d = 1.326 Å, intensity 12
hkl 2 0 6, d = 1.310 Å, intensity 10